Diffraction record for Ce5TlHg3. The powder diffraction line list is calculated, not measured: it uses a PBE-relaxed structure and Cu Ka.
No peak broadening, texture or thermal motion is included.

Lattice parameters (Å, degrees): 9.4679 9.4679 6.5748 90.00 90.00 120.00
Sites, in units of the cell vectors:
Ce (0.0000, 0.3076, 0.2500)
Ce (0.0000, 0.6924, 0.7500)
Ce (0.3076, 0.0000, 0.2500)
Ce (0.3076, 0.3076, 0.7500)
Ce (0.3333, 0.6667, 0.0000)
Ce (0.3333, 0.6667, 0.5000)
Ce (0.6667, 0.3333, 0.0000)
Ce (0.6667, 0.3333, 0.5000)
Ce (0.6924, 0.0000, 0.7500)
Ce (0.6924, 0.6924, 0.2500)
Tl (0.0000, 0.0000, 0.0000)
Tl (0.0000, 0.0000, 0.5000)
Hg (0.0000, 0.3597, 0.7500)
Hg (0.0000, 0.6403, 0.2500)
Hg (0.3597, 0.0000, 0.7500)
Hg (0.3597, 0.3597, 0.2500)
Hg (0.6403, 0.0000, 0.2500)
Hg (0.6403, 0.6403, 0.7500)

Peak list (12 most intense, 2θ = 10–90°, sorted by position)
Position (°2θ)  d [Å]  I/Imax
31.92  2.803  12.3
32.77  2.733  100.0
33.18  2.700  91.5
43.04  2.102  10.1
47.32  1.921  31.3
55.94  1.644  8.2
58.49  1.578  17.8
58.75  1.572  30.6
66.36  1.409  26.5
68.68  1.367  8.5
78.43  1.219  11.0
85.26  1.138  11.8

***

Diffraction record for Nd5Cd2. The powder diffraction line list is calculated, not measured: it uses a PBE-relaxed structure and Cu Ka.
No peak broadening, texture or thermal motion is included.

Lattice parameters (Å, degrees): 9.0987 9.0987 6.7334 92.50 92.50 52.63
Sites, in units of the cell vectors:
Nd (0.0311, 0.9689, 0.7500)
Nd (0.1662, 0.3031, 0.6999)
Nd (0.2803, 0.5648, 0.4769)
Nd (0.3031, 0.1662, 0.1999)
Nd (0.4352, 0.7197, 0.0231)
Nd (0.5648, 0.2803, 0.9769)
Nd (0.6968, 0.8338, 0.8001)
Nd (0.7197, 0.4352, 0.5231)
Nd (0.8338, 0.6968, 0.3001)
Nd (0.9689, 0.0311, 0.2500)
Cd (0.1337, 0.6182, 0.9904)
Cd (0.3818, 0.8663, 0.5096)
Cd (0.6182, 0.1337, 0.4904)
Cd (0.8663, 0.3818, 0.0096)

Peak list (12 most intense, 2θ = 10–90°, sorted by position)
Position (°2θ)  d [Å]  I/Imax
28.26  3.157  89.8
29.55  3.023  100.0
31.21  2.866  73.4
31.92  2.804  23.3
32.58  2.748  17.9
33.02  2.713  39.2
33.57  2.670  36.6
33.75  2.656  71.0
34.73  2.583  57.6
35.43  2.533  41.3
54.36  1.688  17.3
56.71  1.623  26.2

***

Diffraction record for Ti6AuC. The powder diffraction line list is calculated, not measured: it uses a PBE-relaxed structure and Cu Ka.
No peak broadening, texture or thermal motion is included.

Lattice parameters (Å, degrees): 5.1322 5.1322 5.1322 100.50 100.50 100.50
Sites, in units of the cell vectors:
Ti (0.0891, 0.6715, 0.7597)
Ti (0.2403, 0.9109, 0.3285)
Ti (0.3285, 0.2403, 0.9109)
Ti (0.6715, 0.7597, 0.0891)
Ti (0.7597, 0.0891, 0.6715)
Ti (0.9109, 0.3285, 0.2403)
Au (0.5000, 0.5000, 0.5000)
C (0.0000, 0.0000, 0.0000)

Peak list (12 most intense, 2θ = 10–90°, sorted by position)
Position (°2θ)  d [Å]  I/Imax
18.03  4.919  45.8
22.53  3.946  36.3
28.37  3.146  27.3
37.04  2.427  100.0
38.09  2.362  27.1
43.35  2.087  69.1
44.71  2.027  10.0
46.00  1.973  13.2
62.25  1.491  15.9
63.69  1.461  21.2
75.37  1.261  16.4
76.69  1.243  10.7

***

Diffraction record for PrFe2Sn7. The powder diffraction line list is calculated, not measured: it uses a PBE-relaxed structure and Cu Ka.
No peak broadening, texture or thermal motion is included.

Lattice parameters (Å, degrees): 7.5551 7.5551 4.8864 90.00 90.00 107.19
Sites, in units of the cell vectors:
Pr (0.0000, 0.0000, 0.0000)
Fe (0.2954, 0.7046, 0.5000)
Fe (0.7046, 0.2954, 0.5000)
Sn (0.0719, 0.3350, 0.5000)
Sn (0.2898, 0.7102, 0.0000)
Sn (0.3350, 0.0719, 0.5000)
Sn (0.5000, 0.5000, 0.5000)
Sn (0.6650, 0.9281, 0.5000)
Sn (0.7102, 0.2898, 0.0000)
Sn (0.9281, 0.6650, 0.5000)

Peak list (12 most intense, 2θ = 10–90°, sorted by position)
Position (°2θ)  d [Å]  I/Imax
18.15  4.886  43.8
26.99  3.304  86.6
30.33  2.947  86.6
34.75  2.581  51.0
35.68  2.516  100.0
35.99  2.496  65.7
36.79  2.443  79.8
37.38  2.406  40.2
40.26  2.240  51.5
52.18  1.753  68.5
59.44  1.555  35.0
64.95  1.436  39.8

***

Diffraction record for Er2Ag8Hg. The powder diffraction line list is calculated, not measured: it uses a PBE-relaxed structure and Cu Ka.
No peak broadening, texture or thermal motion is included.

Lattice parameters (Å, degrees): 7.1884 7.1884 7.7405 119.91 119.91 41.05
Sites, in units of the cell vectors:
Er (0.2240, 0.2240, 0.2988)
Er (0.7760, 0.7760, 0.7012)
Ag (0.0457, 0.0457, 0.8570)
Ag (0.1313, 0.1313, 0.5804)
Ag (0.3115, 0.3115, 0.0071)
Ag (0.4206, 0.4206, 0.7749)
Ag (0.5794, 0.5794, 0.2251)
Ag (0.6885, 0.6885, 0.9929)
Ag (0.8687, 0.8687, 0.4196)
Ag (0.9543, 0.9543, 0.1430)
Hg (0.5000, 0.5000, 0.5000)

Peak list (12 most intense, 2θ = 10–90°, sorted by position)
Position (°2θ)  d [Å]  I/Imax
35.32  2.541  56.3
35.62  2.520  60.6
37.60  2.392  100.0
38.45  2.341  94.6
51.04  1.789  38.5
58.52  1.577  13.1
64.33  1.448  17.1
65.28  1.429  19.0
65.86  1.418  18.6
66.05  1.414  16.2
70.42  1.337  14.9
80.25  1.196  9.4

***

Diffraction record for Ce2AuC. The powder diffraction line list is calculated, not measured: it uses a PBE-relaxed structure and Cu Ka.
No peak broadening, texture or thermal motion is included.

Lattice parameters (Å, degrees): 6.7480 6.7480 6.7480 136.03 80.93 115.97
Sites, in units of the cell vectors:
Ce (0.1068, 0.2500, 0.3568)
Ce (0.4437, 0.8733, 0.0705)
Ce (0.8028, 0.3733, 0.9295)
Ce (0.8932, 0.7500, 0.6432)
Au (0.3339, 0.1726, 0.6613)
Au (0.5113, 0.6726, 0.3387)
C (0.0603, 0.6901, 0.8703)
C (0.8198, 0.1901, 0.1297)

Peak list (12 most intense, 2θ = 10–90°, sorted by position)
Position (°2θ)  d [Å]  I/Imax
15.09  5.870  28.0
24.89  3.577  52.8
27.73  3.217  65.9
30.46  2.935  29.2
31.57  2.834  100.0
31.87  2.808  99.7
34.95  2.567  25.5
35.54  2.526  71.7
40.62  2.221  58.2
41.43  2.180  24.9
45.63  1.988  42.9
61.33  1.512  23.4

***

Please write out number 3 again, unchanged.
Diffraction record for Ti6AuC. The powder diffraction line list is calculated, not measured: it uses a PBE-relaxed structure and Cu Ka.
No peak broadening, texture or thermal motion is included.

Lattice parameters (Å, degrees): 5.1322 5.1322 5.1322 100.50 100.50 100.50
Sites, in units of the cell vectors:
Ti (0.0891, 0.6715, 0.7597)
Ti (0.2403, 0.9109, 0.3285)
Ti (0.3285, 0.2403, 0.9109)
Ti (0.6715, 0.7597, 0.0891)
Ti (0.7597, 0.0891, 0.6715)
Ti (0.9109, 0.3285, 0.2403)
Au (0.5000, 0.5000, 0.5000)
C (0.0000, 0.0000, 0.0000)

Peak list (12 most intense, 2θ = 10–90°, sorted by position)
Position (°2θ)  d [Å]  I/Imax
18.03  4.919  45.8
22.53  3.946  36.3
28.37  3.146  27.3
37.04  2.427  100.0
38.09  2.362  27.1
43.35  2.087  69.1
44.71  2.027  10.0
46.00  1.973  13.2
62.25  1.491  15.9
63.69  1.461  21.2
75.37  1.261  16.4
76.69  1.243  10.7

***

Number 1 is which compound? Ce5TlHg3